# 1
Computed powder diffraction line list
Compound: Sr3GdRhO6
Radiation: Cu Kα (λ = 1.5418 Å)
Structure: DFT lattice parameters and positions (PBE)
Lines closer than 0.1° are merged.

Peak list (8 most intense, 10° ≤ 2θ ≤ 80°, low angle first)
two_theta, I/Imax
17.92, 43
29.46, 42
31.30, 100
37.65, 33
41.99, 39
43.52, 26
55.72, 15
56.69, 28

```
Sr3GdRhO6
1.0
4.949 2.857 3.837
-4.949 2.857 3.837
0.000 -5.715 3.837
Sr Gd Rh O
6 2 2 12
Direct
0.119 0.750 0.381
0.250 0.619 0.881
0.381 0.119 0.750
0.619 0.881 0.250
0.750 0.381 0.119
0.881 0.250 0.619
0.250 0.250 0.250
0.750 0.750 0.750
0.000 0.000 0.000
0.500 0.500 0.500
0.046 0.912 0.708
0.088 0.292 0.954
0.208 0.412 0.546
0.292 0.954 0.088
0.412 0.546 0.208
0.454 0.792 0.588
0.546 0.208 0.412
0.588 0.454 0.792
0.708 0.046 0.912
0.792 0.588 0.454
0.912 0.708 0.046
0.954 0.088 0.292
```

# 2
Computed powder diffraction line list
Compound: Gd3RuO7
Radiation: Cu Kα (λ = 1.5418 Å)
Structure: DFT lattice parameters and positions (PBE)
Lines closer than 0.1° are merged.

Peak list (8 most intense, 10° ≤ 2θ ≤ 80°, low angle first)
two_theta, I/Imax
29.13, 100
29.42, 87
31.81, 12
33.58, 21
34.11, 43
48.62, 63
57.87, 26
58.37, 14

```
Gd3RuO7
1.0
5.338 -3.691 0.000
5.338 3.691 0.000
0.000 0.000 7.488
Gd Ru O
6 2 14
Direct
0.000 0.000 0.000
0.000 0.000 0.500
0.074 0.478 0.750
0.478 0.074 0.250
0.522 0.926 0.750
0.926 0.522 0.250
0.500 0.500 0.000
0.500 0.500 0.500
0.108 0.157 0.250
0.157 0.108 0.750
0.183 0.562 0.039
0.183 0.562 0.461
0.413 0.587 0.750
0.438 0.817 0.039
0.438 0.817 0.461
0.562 0.183 0.539
0.562 0.183 0.961
0.587 0.413 0.250
0.817 0.438 0.539
0.817 0.438 0.961
0.843 0.892 0.250
0.892 0.843 0.750
```

# 3
Computed powder diffraction line list
Compound: Gd2Ru2O7
Radiation: Cu Kα (λ = 1.5418 Å)
Structure: DFT lattice parameters and positions (PBE)
Lines closer than 0.1° are merged.

Peak list (8 most intense, 10° ≤ 2θ ≤ 80°, low angle first)
two_theta, I/Imax
14.90, 3
30.05, 100
34.84, 33
38.08, 5
50.09, 47
59.52, 43
62.46, 10
73.55, 7

```
Gd2Ru2O7
1.0
0.000 5.151 5.151
5.151 0.000 5.151
5.151 5.151 0.000
Gd Ru O
4 4 14
Direct
0.000 0.000 0.000
0.000 0.000 0.500
0.000 0.500 0.000
0.500 0.000 0.000
0.000 0.500 0.500
0.500 0.000 0.500
0.500 0.500 0.000
0.500 0.500 0.500
0.125 0.125 0.125
0.168 0.168 0.582
0.168 0.582 0.168
0.168 0.582 0.582
0.418 0.418 0.832
0.418 0.832 0.418
0.418 0.832 0.832
0.582 0.168 0.168
0.582 0.168 0.582
0.582 0.582 0.168
0.832 0.418 0.418
0.832 0.418 0.832
0.832 0.832 0.418
0.875 0.875 0.875
```

# 4
Computed powder diffraction line list
Compound: Gd2S3O12
Radiation: Cu Kα (λ = 1.5418 Å)
Structure: DFT lattice parameters and positions (PBE)
Lines closer than 0.1° are merged.

Peak list (8 most intense, 10° ≤ 2θ ≤ 80°, low angle first)
two_theta, I/Imax
14.03, 100
14.24, 28
16.77, 29
18.56, 23
25.79, 39
27.60, 33
28.27, 23
30.36, 45

```
Gd2S3O12
1.0
6.517 0.000 0.000
-0.069 6.982 0.000
-1.942 -2.569 6.314
Gd S O
2 3 12
Direct
0.000 0.000 0.000
0.314 0.553 0.134
0.272 0.315 0.529
0.499 0.039 0.096
0.790 0.483 0.958
0.093 0.158 0.356
0.209 0.403 0.725
0.330 0.843 0.026
0.332 0.177 0.020
0.342 0.473 0.455
0.417 0.844 0.405
0.632 0.979 0.942
0.665 0.539 0.117
0.833 0.923 0.567
0.919 0.763 0.567
0.956 0.340 0.024
0.956 0.679 0.025
```

# 5
Computed powder diffraction line list
Compound: Gd2S2O
Radiation: Cu Kα (λ = 1.5418 Å)
Structure: DFT lattice parameters and positions (PBE)
Lines closer than 0.1° are merged.

Peak list (8 most intense, 10° ≤ 2θ ≤ 80°, low angle first)
two_theta, I/Imax
19.98, 33
25.00, 25
25.99, 41
26.58, 55
28.57, 66
29.80, 100
38.55, 27
38.85, 26

```
Gd2S2O
1.0
8.374 0.000 0.000
0.000 7.019 0.000
-1.095 0.000 6.857
Gd S O
8 8 4
Direct
0.078 0.140 0.317
0.078 0.360 0.817
0.363 0.555 0.250
0.363 0.945 0.750
0.637 0.055 0.250
0.637 0.445 0.750
0.922 0.640 0.183
0.922 0.860 0.683
0.178 0.639 0.571
0.178 0.861 0.071
0.423 0.224 0.470
0.423 0.276 0.970
0.577 0.724 0.030
0.577 0.776 0.530
0.822 0.139 0.929
0.822 0.361 0.429
0.117 0.087 0.649
0.117 0.413 0.149
0.883 0.587 0.851
0.883 0.913 0.351
```

# 6
Computed powder diffraction line list
Compound: Gd2S3O12
Radiation: Cu Kα (λ = 1.5418 Å)
Structure: DFT lattice parameters and positions (PBE)
Lines closer than 0.1° are merged.

Peak list (8 most intense, 10° ≤ 2θ ≤ 80°, low angle first)
two_theta, I/Imax
14.10, 100
15.12, 56
18.94, 80
24.57, 32
24.77, 22
25.75, 59
31.25, 33
32.21, 50

```
Gd2S3O12
1.0
6.388 0.000 0.000
0.017 6.920 0.000
2.739 3.411 6.281
Gd S O
2 3 12
Direct
0.000 0.000 0.000
0.166 0.394 0.235
0.379 0.904 0.199
0.655 0.769 0.611
0.785 0.475 0.037
0.001 0.335 0.566
0.189 0.294 0.641
0.235 0.075 0.677
0.254 0.106 0.139
0.259 0.769 0.129
0.446 0.635 0.787
0.538 0.409 0.193
0.622 0.988 0.034
0.720 0.744 0.422
0.795 0.927 0.615
0.894 0.269 0.120
0.909 0.621 0.093
```

Number 3 is which compound?
Gd2Ru2O7